Computed PXRD pattern
Compound: YCd5Hg8
Radiation: a wavelength of 1.5418 Å
Structure: a PBE-relaxed structure

Structural model:
```
YCd5Hg8
1.0
-4.4483 4.4483 4.4309
4.4483 -4.4483 4.4309
4.4483 4.4483 -4.4309
Y Cd Hg
1 5 8
direct
0.0000 0.0000 0.0000
0.0884 0.2262 0.5915
0.2500 0.7500 0.5000
0.5030 0.9116 0.1378
0.6347 0.4970 0.4085
0.7738 0.3653 0.8622
0.0603 0.6284 0.7575
0.2482 0.4800 0.1015
0.3716 0.1292 0.4319
0.3786 0.1468 0.8985
0.5200 0.6214 0.7682
0.6973 0.9397 0.5681
0.8532 0.7518 0.2318
0.8708 0.3027 0.2425
```

Principal peaks in the range 10° ≤ 2θ ≤ 80°, by intensity:
2θ = 37.89°, intensity 100
2θ = 31.82°, intensity 71
2θ = 31.92°, intensity 35
2θ = 24.54°, intensity 24
2θ = 64.61°, intensity 21
2θ = 50.28°, intensity 16
2θ = 52.47°, intensity 14
2θ = 68.48°, intensity 11
2θ = 50.38°, intensity 11
2θ = 52.59°, intensity 10

***

Computed PXRD pattern
Compound: NiB6N6
Radiation: a wavelength of 1.5418 Å
Structure: a PBE-relaxed structure

Structural model:
```
NiB6N6
1.0
4.5068 0.0000 0.0000
0.0000 4.5068 0.0000
0.0000 0.0000 4.5068
Ni B N
1 6 6
direct
0.0000 0.0000 0.0000
0.0000 0.2460 0.5000
0.0000 0.7540 0.5000
0.2460 0.5000 0.0000
0.5000 0.0000 0.2460
0.5000 0.0000 0.7540
0.7540 0.5000 0.0000
0.0000 0.5000 0.2519
0.0000 0.5000 0.7481
0.2519 0.0000 0.5000
0.5000 0.2519 0.0000
0.5000 0.7481 0.0000
0.7481 0.0000 0.5000
```

Principal peaks in the range 10° ≤ 2θ ≤ 80°, by intensity:
2θ = 19.70°, intensity 100
2θ = 49.54°, intensity 80
2θ = 44.98°, intensity 48
2θ = 40.01°, intensity 41
2θ = 79.59°, intensity 33
2θ = 34.47°, intensity 31
2θ = 61.75°, intensity 20
2θ = 69.13°, intensity 11
2θ = 76.16°, intensity 8
2θ = 28.00°, intensity 7

***

Computed PXRD pattern
Compound: AcCd11In
Radiation: a wavelength of 1.5418 Å
Structure: a PBE-relaxed structure

Structural model:
```
AcCd11In
1.0
3.0274 -7.2250 0.0000
3.0274 7.2250 0.0000
-3.0156 0.0000 7.1537
Ac Cd In
1 11 1
direct
0.0000 0.0000 0.0000
0.0000 0.5000 0.0000
0.0024 0.3602 0.3540
0.2927 0.5083 0.7874
0.3602 0.0024 0.3540
0.4917 0.7073 0.2126
0.5000 0.0000 0.0000
0.5000 0.5000 0.5000
0.5083 0.2927 0.7874
0.6398 0.9976 0.6460
0.7073 0.4917 0.2126
0.9976 0.6398 0.6460
0.0000 0.0000 0.5000
```

Principal peaks in the range 10° ≤ 2θ ≤ 80°, by intensity:
2θ = 35.28°, intensity 100
2θ = 34.48°, intensity 75
2θ = 34.97°, intensity 50
2θ = 30.22°, intensity 45
2θ = 62.85°, intensity 25
2θ = 38.98°, intensity 20
2θ = 38.81°, intensity 20
2θ = 39.50°, intensity 17
2θ = 29.51°, intensity 17
2θ = 72.71°, intensity 13

***

Computed PXRD pattern
Compound: CsSe
Radiation: a wavelength of 1.5418 Å
Structure: a PBE-relaxed structure

Structural model:
```
CsSe
1.0
6.7177 0.0000 0.0000
0.0000 6.7177 0.0000
0.0000 0.0000 17.4407
Cs Se
8 8
direct
0.0236 0.3125 0.3755
0.1875 0.5236 0.1255
0.3125 0.0236 0.6245
0.4764 0.8125 0.3745
0.5236 0.1875 0.8745
0.6875 0.9764 0.1245
0.8125 0.4764 0.6255
0.9764 0.6875 0.8755
0.0187 0.1870 0.7908
0.1870 0.0187 0.2092
0.3130 0.5187 0.5408
0.4813 0.6869 0.9592
0.5187 0.3130 0.4592
0.6869 0.4813 0.0408
0.8131 0.9813 0.7092
0.9813 0.8131 0.2908
```

Principal peaks in the range 10° ≤ 2θ ≤ 80°, by intensity:
2θ = 28.48°, intensity 100
2θ = 31.83°, intensity 64
2θ = 24.20°, intensity 52
2θ = 16.66°, intensity 43
2θ = 53.42°, intensity 32
2θ = 40.90°, intensity 31
2θ = 27.03°, intensity 25
2θ = 37.88°, intensity 23
2θ = 38.24°, intensity 23
2θ = 27.77°, intensity 23

***

Computed PXRD pattern
Compound: Mg6ZnHg2
Radiation: a wavelength of 1.5418 Å
Structure: a PBE-relaxed structure

Structural model:
```
Mg6ZnHg2
1.0
4.9396 0.0000 0.0000
-2.4698 4.2779 0.0000
0.0000 0.0000 8.9135
Mg Zn Hg
6 1 2
direct
0.0000 0.0000 0.1831
0.0000 0.0000 0.8169
0.3333 0.6667 0.0560
0.3333 0.6667 0.4020
0.6667 0.3333 0.5980
0.6667 0.3333 0.9440
0.0000 0.0000 0.5000
0.3333 0.6667 0.7328
0.6667 0.3333 0.2672
```

Principal peaks in the range 10° ≤ 2θ ≤ 80°, by intensity:
2θ = 23.06°, intensity 100
2θ = 36.83°, intensity 70
2θ = 36.38°, intensity 68
2θ = 28.93°, intensity 28
2θ = 65.75°, intensity 26
2θ = 52.73°, intensity 25
2θ = 19.92°, intensity 22
2θ = 41.82°, intensity 21
2θ = 43.51°, intensity 20
2θ = 57.97°, intensity 17

***

Computed PXRD pattern
Compound: PmHo8Tl6
Radiation: a wavelength of 1.5418 Å
Structure: a PBE-relaxed structure

Structural model:
```
PmHo8Tl6
1.0
4.5478 2.6257 6.4956
-4.5478 2.6257 6.4956
0.0000 -5.2514 6.4956
Pm Ho Tl
1 8 6
direct
0.0000 0.0000 0.0000
0.1105 0.7772 0.4412
0.2228 0.5588 0.8895
0.3327 0.3327 0.3327
0.4412 0.1105 0.7772
0.5588 0.8895 0.2228
0.6673 0.6673 0.6673
0.7772 0.4412 0.1105
0.8895 0.2228 0.5588
0.0646 0.4028 0.7262
0.2738 0.9354 0.5972
0.4028 0.7262 0.0646
0.5972 0.2738 0.9354
0.7262 0.0646 0.4028
0.9354 0.5972 0.2738
```

Principal peaks in the range 10° ≤ 2θ ≤ 80°, by intensity:
2θ = 34.15°, intensity 100
2θ = 33.92°, intensity 97
2θ = 60.99°, intensity 36
2θ = 48.90°, intensity 35
2θ = 19.52°, intensity 21
2θ = 23.89°, intensity 21
2θ = 60.54°, intensity 20
2θ = 61.13°, intensity 19
2θ = 44.36°, intensity 13
2θ = 71.37°, intensity 12

***

Computed PXRD pattern
Compound: SmI2
Radiation: a wavelength of 1.5418 Å
Structure: a PBE-relaxed structure

Structural model:
```
SmI2
1.0
7.3925 0.0000 0.0000
0.0000 14.1164 0.0000
0.0000 0.0000 8.2607
Sm I
8 16
direct
0.1740 0.0950 0.0496
0.1740 0.4050 0.5496
0.3260 0.5950 0.0496
0.3260 0.9050 0.5496
0.6740 0.0950 0.4504
0.6740 0.4050 0.9504
0.8260 0.5950 0.4504
0.8260 0.9050 0.9504
0.0167 0.0456 0.7070
0.0167 0.4544 0.2070
0.1997 0.7044 0.3846
0.1997 0.7956 0.8846
0.3003 0.2044 0.3846
0.3003 0.2956 0.8846
0.4833 0.5456 0.7070
0.4833 0.9544 0.2070
0.5167 0.0456 0.7930
0.5167 0.4544 0.2930
0.6997 0.7044 0.1154
0.6997 0.7956 0.6154
0.8003 0.2044 0.1154
0.8003 0.2956 0.6154
0.9833 0.5456 0.7930
0.9833 0.9544 0.2930
```

Principal peaks in the range 10° ≤ 2θ ≤ 80°, by intensity:
2θ = 30.07°, intensity 100
2θ = 34.97°, intensity 83
2θ = 27.78°, intensity 81
2θ = 29.34°, intensity 62
2θ = 30.76°, intensity 61
2θ = 27.23°, intensity 59
2θ = 27.48°, intensity 56
2θ = 38.66°, intensity 53
2θ = 32.51°, intensity 53
2θ = 41.74°, intensity 44

***

Computed PXRD pattern
Compound: LiSmAs2Rh5
Radiation: a wavelength of 1.5418 Å
Structure: a PBE-relaxed structure

Structural model:
```
LiSmAs2Rh5
1.0
4.1563 0.0000 0.0000
0.0000 4.1563 0.0000
0.0000 0.0000 9.0264
Li Sm As Rh
1 1 2 5
direct
0.0000 0.0000 0.0000
0.0000 0.0000 0.5000
0.5000 0.5000 0.1395
0.5000 0.5000 0.8605
0.0000 0.5000 0.2682
0.0000 0.5000 0.7318
0.5000 0.0000 0.2682
0.5000 0.0000 0.7318
0.5000 0.5000 0.5000
```

Principal peaks in the range 10° ≤ 2θ ≤ 80°, by intensity:
2θ = 36.48°, intensity 100
2θ = 43.55°, intensity 51
2θ = 43.02°, intensity 42
2θ = 75.31°, intensity 23
2θ = 63.29°, intensity 17
2θ = 70.29°, intensity 15
2θ = 23.57°, intensity 14
2θ = 79.59°, intensity 14
2θ = 60.57°, intensity 13
2θ = 39.95°, intensity 11